[1]
The following is a simulated PXRD pattern of TcMoS2N. It was derived from a cell relaxed with GGA-PBE, using Cu Ka.
Intensities are scaled so that the largest is 100.

Crystal structure
Cell lengths 4.8275, 4.8275, 3.7812 Å; angles 90.00, 90.00, 90.00 degrees
Space group P4/mmm (No. 123)
Inequivalent atoms, fractional coordinates:
Tc: 0.0000 0.0000 0.0000
Mo: 0.5000 0.5000 0.5000
S: 0.0000 0.5000 0.5000
N: 0.5000 0.5000 0.0000

Top 10 peaks for 10° ≤ 2θ ≤ 90°, low angle first:
- 2θ = 26.1°, rel. 44, (1 1 0)
- 2θ = 30.0°, rel. 100, (1 0 1)
- 2θ = 35.4°, rel. 13, (1 1 1)
- 2θ = 37.3°, rel. 62, (2 0 0)
- 2θ = 48.1°, rel. 14, (0 0 2)
- 2θ = 48.6°, rel. 52, (2 1 1)
- 2θ = 53.7°, rel. 20, (2 2 0)
- 2θ = 62.4°, rel. 25, (2 0 2)
- 2θ = 75.0°, rel. 15, (2 2 2)
- 2θ = 75.3°, rel. 14, (3 2 1)

[2]
The following is a simulated PXRD pattern of ScMoN. It was derived from a cell relaxed with GGA-PBE, using Cu Ka.
Intensities are scaled so that the largest is 100.

Crystal structure
Cell lengths 3.2446, 3.2446, 7.6072 Å; angles 90.00, 90.00, 90.00 degrees
Space group P4/nmm (No. 129, origin choice 2)
Inequivalent atoms, fractional coordinates:
Sc: 0.2500 0.2500 0.1433
Mo: 0.2500 0.2500 0.5815
N: 0.2500 0.2500 0.8562

Top 10 peaks for 10° ≤ 2θ ≤ 90°, low angle first:
- 2θ = 11.6°, rel. 65, (0 0 1)
- 2θ = 36.4°, rel. 100, (1 0 2)
- 2θ = 39.3°, rel. 75, (1 1 0)
- 2θ = 41.1°, rel. 14, (1 1 1)
- 2θ = 45.4°, rel. 29, (1 0 3)
- 2θ = 56.1°, rel. 11, (1 0 4)
- 2θ = 56.7°, rel. 23, (2 0 0)
- 2θ = 63.5°, rel. 12, (1 1 4)
- 2θ = 69.3°, rel. 29, (2 1 2)
- 2θ = 75.5°, rel. 12, (2 1 3)

[3]
The following is a simulated PXRD pattern of Sm2Mo2N7. It was derived from a cell relaxed with GGA-PBE, using Cu Ka.
Intensities are scaled so that the largest is 100.

Crystal structure
Cell lengths 8.1303, 9.5538, 3.7770 Å; angles 90.00, 100.20, 90.00 degrees
Space group C2/m (No. 12)
Inequivalent atoms, fractional coordinates:
Sm: 0.0000 0.2154 0.0000
Mo: 0.2318 0.5000 0.4967
N: 0.0000 0.5000 0.5000
N: 0.1698 0.0000 0.0192
N: 0.2147 0.2050 0.6088

Top 10 peaks for 10° ≤ 2θ ≤ 90°, low angle first:
- 2θ = 29.1°, rel. 100, (2 2 0)
- 2θ = 29.8°, rel. 72, (2 0 -1)
- 2θ = 30.2°, rel. 24, (1 3 0)
- 2θ = 30.5°, rel. 87, (0 2 1)
- 2θ = 35.8°, rel. 43, (2 0 1)
- 2θ = 37.7°, rel. 32, (0 4 0)
- 2θ = 45.3°, rel. 22, (4 0 0)
- 2θ = 49.0°, rel. 28, (0 0 2)
- 2θ = 51.6°, rel. 25, (4 2 -1)
- 2θ = 54.1°, rel. 28, (2 2 -2)

[4]
The following is a simulated PXRD pattern of Sm3Mo2N6. It was derived from a cell relaxed with GGA-PBE, using Cu Ka.
Intensities are scaled so that the largest is 100.

Crystal structure
Cell lengths 3.9807, 3.9807, 19.2517 Å; angles 90.00, 90.00, 90.00 degrees
Space group I4/mmm (No. 139)
Inequivalent atoms, fractional coordinates:
Sm: 0.0000 0.0000 0.0000
Sm: 0.0000 0.0000 0.1794
Mo: 0.0000 0.0000 0.4016
N: 0.0000 0.0000 0.3006
N: 0.0000 0.5000 0.0854

Top 10 peaks for 10° ≤ 2θ ≤ 90°, low angle first:
- 2θ = 31.8°, rel. 64, (1 1 0)
- 2θ = 32.3°, rel. 100, (1 0 5)
- 2θ = 39.8°, rel. 10, (1 0 7)
- 2θ = 42.7°, rel. 14, (1 1 6)
- 2θ = 45.6°, rel. 32, (2 0 0)
- 2θ = 57.0°, rel. 40, (2 1 5)
- 2θ = 58.0°, rel. 11, (1 1 10)
- 2θ = 66.4°, rel. 10, (2 2 0)
- 2θ = 75.5°, rel. 11, (3 1 0)
- 2θ = 76.3°, rel. 9, (2 0 12)

[5]
The following is a simulated PXRD pattern of Sm2MoN4. It was derived from a cell relaxed with GGA-PBE, using Cu Ka.
Intensities are scaled so that the largest is 100.

Crystal structure
Cell lengths 5.8722, 5.9491, 6.7870 Å; angles 90.00, 108.36, 90.00 degrees
Space group P2_1/m (No. 11)
Inequivalent atoms, fractional coordinates:
Sm: 0.1771 0.2500 0.0278
Sm: 0.2591 0.2500 0.5596
Mo: 0.2703 0.7500 0.8080
N: 0.0464 0.5089 0.7474
N: 0.4553 0.7500 0.0826
N: 0.4786 0.7500 0.6514

Top 10 peaks for 10° ≤ 2θ ≤ 90°, low angle first:
- 2θ = 21.9°, rel. 89, (1 1 0)
- 2θ = 24.2°, rel. 42, (1 0 1)
- 2θ = 30.0°, rel. 100, (0 2 0)
- 2θ = 31.2°, rel. 86, (1 1 -2)
- 2θ = 31.6°, rel. 41, (0 1 2)
- 2θ = 32.1°, rel. 43, (2 0 0)
- 2θ = 38.5°, rel. 59, (2 1 -2)
- 2θ = 39.5°, rel. 69, (1 1 2)
- 2θ = 44.6°, rel. 47, (2 2 0)
- 2θ = 54.1°, rel. 40, (1 0 -4)

[6]
The following is a simulated PXRD pattern of SrMoN. It was derived from a cell relaxed with GGA-PBE, using Cu Ka.
Intensities are scaled so that the largest is 100.

Crystal structure
Cell lengths 11.7918, 3.3612, 5.5407 Å; angles 90.00, 90.00, 90.00 degrees
Space group Amm2 (No. 38)
Inequivalent atoms, fractional coordinates:
Sr: 0.1292 0.0000 0.0000
Mo: 0.3984 0.0000 0.6566
N: 0.0000 0.0000 0.3414
N: 0.5000 0.0000 0.2558

Top 10 peaks for 10° ≤ 2θ ≤ 90°, low angle first:
- 2θ = 15.0°, rel. 18, (2 0 0)
- 2θ = 30.3°, rel. 49, (4 0 0)
- 2θ = 31.1°, rel. 21, (0 1 1)
- 2θ = 32.1°, rel. 100, (1 1 1)
- 2θ = 33.2°, rel. 48, (1 0 2)
- 2θ = 38.8°, rel. 36, (3 1 1)
- 2θ = 44.0°, rel. 24, (4 1 1)
- 2θ = 50.0°, rel. 37, (5 1 1)
- 2θ = 56.9°, rel. 25, (0 1 3)
- 2θ = 65.8°, rel. 22, (4 1 3)

[7]
The following is a simulated PXRD pattern of Sr2TbMoN4. It was derived from a cell relaxed with GGA-PBE, using Cu Ka.
Intensities are scaled so that the largest is 100.

Crystal structure
Cell lengths 7.6638, 7.0195, 5.5883 Å; angles 90.00, 90.00, 90.00 degrees
Space group Pmn2_1 (No. 31)
Inequivalent atoms, fractional coordinates:
Sr: 0.2471 0.1610 0.0000
Tb: 0.0000 0.6554 0.0136
Mo: 0.0000 0.3477 0.5360
N: 0.0000 0.3632 0.8697
N: 0.0000 0.6049 0.4216
N: 0.2117 0.2164 0.4642

Top 10 peaks for 10° ≤ 2θ ≤ 90°, low angle first:
- 2θ = 26.5°, rel. 51, (2 1 0)
- 2θ = 30.1°, rel. 70, (0 2 1)
- 2θ = 31.0°, rel. 100, (2 1 1)
- 2θ = 32.0°, rel. 45, (0 0 2)
- 2θ = 42.0°, rel. 24, (2 1 2)
- 2θ = 45.4°, rel. 34, (2 3 0)
- 2θ = 47.5°, rel. 16, (4 0 0)
- 2θ = 56.5°, rel. 21, (2 1 3)
- 2θ = 56.7°, rel. 31, (2 3 2)
- 2θ = 57.2°, rel. 24, (4 2 1)

[8]
The following is a simulated PXRD pattern of TbMo2N4. It was derived from a cell relaxed with GGA-PBE, using Cu Ka.
Intensities are scaled so that the largest is 100.

Crystal structure
Cell lengths 3.2696, 9.8596, 9.9960 Å; angles 90.00, 90.00, 90.00 degrees
Space group Cmcm (No. 63)
Inequivalent atoms, fractional coordinates:
Tb: 0.0000 0.1233 0.2500
Mo: 0.0000 0.3824 0.0579
N: 0.0000 0.0000 0.0000
N: 0.0000 0.2636 0.6083
N: 0.0000 0.4352 0.2500

Top 10 peaks for 10° ≤ 2θ ≤ 90°, low angle first:
- 2θ = 30.2°, rel. 51, (1 1 1)
- 2θ = 32.4°, rel. 100, (0 2 3)
- 2θ = 34.0°, rel. 67, (1 1 2)
- 2θ = 36.5°, rel. 35, (0 4 0)
- 2θ = 39.9°, rel. 44, (1 3 1)
- 2θ = 43.0°, rel. 42, (1 3 2)
- 2θ = 54.6°, rel. 27, (1 1 5)
- 2θ = 57.6°, rel. 23, (1 5 2)
- 2θ = 61.2°, rel. 23, (1 3 5)
- 2θ = 66.5°, rel. 25, (2 2 3)